Entry 1:
Diffraction record for Mo3W. The X-ray diffraction stick pattern is simulated, not measured: it uses a PBE-relaxed structure and Cu Kα X-rays.
No peak broadening, texture or thermal motion is included.

The 10 most intense peaks (2θ = 10–90°), in order of rising 2θ:
| index | 2θ (°) | d_spacing | intensity |
| --- | --- | --- | --- |
| 1 1 0 | 14.0 | 6.343 | 2 |
| 0 2 0 | 19.8 | 4.485 | 5 |
| 3 1 0 | 31.5 | 2.837 | 2 |
| 2 0 2 | 34.6 | 2.590 | 3 |
| 4 0 0 | 40.2 | 2.243 | 100 |
| 4 2 0 | 45.2 | 2.006 | 1 |
| 2 4 2 | 54.1 | 1.695 | 2 |
| 4 4 0 | 58.2 | 1.586 | 17 |
| 6 2 2 | 73.1 | 1.295 | 34 |
| 8 0 0 | 86.9 | 1.121 | 11 |

Structural model:
```
data_Mo3W
_chemical_formula_sum 'Mo24 W8'
_space_group_name_H-M_alt 'C 1 m 1'
_space_group_IT_number 8
_cell_length_a 8.972
_cell_length_b 8.970
_cell_length_c 6.343
_cell_angle_alpha 90.00
_cell_angle_beta 90.01
_cell_angle_gamma 90.00
loop_
_space_group_symop_operation_xyz
'x,y,z'
'x,-y,z'
'x+1/2,y+1/2,z'
'x+1/2,-y+1/2,z'
loop_
_atom_site_label
_atom_site_type_symbol
_atom_site_fract_x
_atom_site_fract_y
_atom_site_fract_z
Mo1 Mo 0.000 0.000 0.000
Mo2 Mo 0.000 0.000 0.500
Mo3 Mo 0.000 0.250 0.250
Mo4 Mo 0.000 0.250 0.750
Mo5 Mo 0.000 0.500 0.000
Mo6 Mo 0.250 0.000 0.250
Mo7 Mo 0.250 0.250 0.000
Mo8 Mo 0.250 0.250 0.500
W1 W 0.000 0.500 0.499
W2 W 0.250 0.000 0.750
W3 W 0.250 0.500 0.250
W4 W 0.251 0.500 0.750
```

Entry 2:
Diffraction record for Mo11W5. The X-ray diffraction stick pattern is simulated, not measured: it uses a PBE-relaxed structure and Cu Kα X-rays.
No peak broadening, texture or thermal motion is included.

The 10 most intense peaks (2θ = 10–90°), in order of rising 2θ:
| index | 2θ (°) | d_spacing | intensity |
| --- | --- | --- | --- |
| 1 0 0 | 14.0 | 6.346 | 4 |
| 1 0 1 | 19.8 | 4.487 | 5 |
| 2 0 -1 | 31.5 | 2.838 | 3 |
| 2 1 1 | 34.6 | 2.591 | 3 |
| 2 2 0 | 40.2 | 2.243 | 100 |
| 3 0 0 | 42.7 | 2.115 | 1 |
| 3 2 1 | 54.1 | 1.696 | 2 |
| 4 0 0 | 58.2 | 1.586 | 17 |
| 4 2 2 | 73.1 | 1.295 | 34 |
| 4 4 0 | 86.8 | 1.122 | 11 |

Structural model:
```
data_Mo11W5
_chemical_formula_sum 'Mo11 W5'
_space_group_name_H-M_alt 'P 1 m 1'
_space_group_IT_number 6
_cell_length_a 6.345
_cell_length_b 6.345
_cell_length_c 6.346
_cell_angle_alpha 90.00
_cell_angle_beta 90.01
_cell_angle_gamma 90.00
loop_
_space_group_symop_operation_xyz
'x,y,z'
'x,-y,z'
loop_
_atom_site_label
_atom_site_type_symbol
_atom_site_fract_x
_atom_site_fract_y
_atom_site_fract_z
Mo1 Mo 0.000 0.000 0.000
Mo2 Mo 0.000 0.000 0.499
Mo3 Mo 0.000 0.500 0.499
Mo4 Mo 0.250 0.250 0.250
Mo5 Mo 0.501 0.000 0.000
Mo6 Mo 0.501 0.500 0.499
Mo7 Mo 0.751 0.250 0.250
Mo8 Mo 0.751 0.250 0.749
W1 W 0.000 0.500 0.000
W2 W 0.250 0.250 0.749
W3 W 0.501 0.000 0.499
W4 W 0.501 0.500 0.000
```

Entry 3:
Diffraction record for Mo3W5. The X-ray diffraction stick pattern is simulated, not measured: it uses a PBE-relaxed structure and Cu Kα X-rays.
No peak broadening, texture or thermal motion is included.

The 10 most intense peaks (2θ = 10–90°), in order of rising 2θ:
| index | 2θ (°) | d_spacing | intensity |
| --- | --- | --- | --- |
| 0 1 1 | 13.9 | 6.356 | 3 |
| 1 1 1 | 19.8 | 4.495 | 3 |
| 1 0 2 | 24.3 | 3.670 | 1 |
| 1 2 2 | 31.5 | 2.843 | 2 |
| 2 2 0 | 34.6 | 2.595 | 1 |
| 2 2 2 | 40.1 | 2.247 | 100 |
| 3 0 0 | 42.7 | 2.119 | 1 |
| 4 0 0 | 58.0 | 1.589 | 17 |
| 4 4 0 | 72.9 | 1.297 | 35 |
| 4 4 4 | 86.6 | 1.124 | 11 |

Structural model:
```
data_Mo3W5
_chemical_formula_sum 'Mo12 W20'
_space_group_name_H-M_alt 'A m m 2'
_space_group_IT_number 38
_cell_length_a 6.356
_cell_length_b 8.989
_cell_length_c 8.989
_cell_angle_alpha 90.00
_cell_angle_beta 90.00
_cell_angle_gamma 90.00
loop_
_space_group_symop_operation_xyz
'x,y,z'
'-x,-y,z'
'-x,y,z'
'x,-y,z'
'x,y+1/2,z+1/2'
'-x,-y+1/2,z+1/2'
'-x,y+1/2,z+1/2'
'x,-y+1/2,z+1/2'
loop_
_atom_site_label
_atom_site_type_symbol
_atom_site_fract_x
_atom_site_fract_y
_atom_site_fract_z
Mo1 Mo 0.000 0.000 0.000
Mo2 Mo 0.000 0.250 0.250
Mo3 Mo 0.250 0.000 0.250
Mo4 Mo 0.500 0.000 0.500
W1 W 0.000 0.000 0.499
W2 W 0.250 0.000 0.750
W3 W 0.250 0.250 0.000
W4 W 0.500 0.000 0.000
W5 W 0.500 0.250 0.250
```

Entry 4:
Diffraction record for ZrMo4W5. The X-ray diffraction stick pattern is simulated, not measured: it uses a PBE-relaxed structure and Cu Kα X-rays.
No peak broadening, texture or thermal motion is included.

The 10 most intense peaks (2θ = 10–90°), in order of rising 2θ:
| index | 2θ (°) | d_spacing | intensity |
| --- | --- | --- | --- |
| 2 0 -1 | 15.8 | 5.596 | 19 |
| 3 1 0 | 31.1 | 2.875 | 21 |
| 1 1 2 | 39.2 | 2.300 | 100 |
| 0 2 0 | 39.8 | 2.262 | 50 |
| 4 0 -3 | 41.0 | 2.200 | 33 |
| 5 1 -1 | 41.3 | 2.187 | 67 |
| 4 2 -3 | 58.5 | 1.577 | 24 |
| 1 3 2 | 71.9 | 1.313 | 17 |
| 5 3 -1 | 73.3 | 1.291 | 12 |
| 9 1 -4 | 76.3 | 1.248 | 14 |

Structural model:
```
data_ZrMo4W5
_chemical_formula_sum 'Zr2 Mo8 W10'
_space_group_name_H-M_alt 'C 1 2/m 1'
_space_group_IT_number 12
_cell_length_a 12.556
_cell_length_b 4.525
_cell_length_c 6.914
_cell_angle_alpha 90.00
_cell_angle_beta 117.15
_cell_angle_gamma 90.00
loop_
_space_group_symop_operation_xyz
'x,y,z'
'-x,-y,-z'
'-x,y,-z'
'x,-y,z'
'x+1/2,y+1/2,z'
'-x+1/2,-y+1/2,-z'
'-x+1/2,y+1/2,-z'
'x+1/2,-y+1/2,z'
loop_
_atom_site_label
_atom_site_type_symbol
_atom_site_fract_x
_atom_site_fract_y
_atom_site_fract_z
Zr1 Zr 0.000 0.000 0.000
Mo1 Mo 0.052 0.500 0.247
Mo2 Mo 0.186 0.000 0.428
W1 W 0.000 0.000 0.500
W2 W 0.140 0.500 0.698
W3 W 0.226 0.500 0.127
```

Entry 5:
Diffraction record for ZrMoW2. The X-ray diffraction stick pattern is simulated, not measured: it uses a PBE-relaxed structure and Cu Kα X-rays.
No peak broadening, texture or thermal motion is included.

The 10 most intense peaks (2θ = 10–90°), in order of rising 2θ:
| index | 2θ (°) | d_spacing | intensity |
| --- | --- | --- | --- |
| 0 0 1 | 16.6 | 5.328 | 22 |
| 1 0 1 | 38.8 | 2.323 | 51 |
| 1 1 -1 | 39.0 | 2.309 | 100 |
| 0 1 2 | 39.2 | 2.296 | 98 |
| 0 2 0 | 39.8 | 2.265 | 47 |
| 1 0 -3 | 56.3 | 1.635 | 17 |
| 1 2 1 | 56.8 | 1.622 | 34 |
| 2 1 0 | 70.2 | 1.341 | 26 |
| 1 1 3 | 70.7 | 1.333 | 26 |
| 1 2 -3 | 71.1 | 1.326 | 17 |

Structural model:
```
data_ZrMoW2
_chemical_formula_sum 'Zr1 Mo1 W2'
_space_group_name_H-M_alt 'P 1 m 1'
_space_group_IT_number 6
_cell_length_a 2.851
_cell_length_b 4.530
_cell_length_c 5.410
_cell_angle_alpha 90.00
_cell_angle_beta 100.03
_cell_angle_gamma 90.00
loop_
_space_group_symop_operation_xyz
'x,y,z'
'x,-y,z'
loop_
_atom_site_label
_atom_site_type_symbol
_atom_site_fract_x
_atom_site_fract_y
_atom_site_fract_z
Zr1 Zr 0.000 0.000 0.000
Mo1 Mo 0.750 0.500 0.255
W1 W 0.261 0.500 0.738
W2 W 0.507 0.000 0.500
```

Entry 6:
Diffraction record for ZrMo12W6. The X-ray diffraction stick pattern is simulated, not measured: it uses a PBE-relaxed structure and Cu Kα X-rays.
No peak broadening, texture or thermal motion is included.

The 10 most intense peaks (2θ = 10–90°), in order of rising 2θ:
| index | 2θ (°) | d_spacing | intensity |
| --- | --- | --- | --- |
| 1 1 0 | 16.3 | 5.454 | 64 |
| 0 0 3 | 25.2 | 3.532 | 30 |
| 2 2 0 | 32.8 | 2.727 | 35 |
| 1 3 1 | 35.3 | 2.543 | 50 |
| 3 0 3 | 38.3 | 2.350 | 82 |
| 0 4 2 | 41.9 | 2.158 | 100 |
| 2 3 2 | 45.2 | 2.006 | 15 |
| 2 0 5 | 47.0 | 1.934 | 16 |
| 4 2 2 | 54.2 | 1.692 | 23 |
| 4 4 3 | 74.6 | 1.272 | 18 |

Structural model:
```
data_ZrMo12W6
_chemical_formula_sum 'Zr3 Mo36 W18'
_space_group_name_H-M_alt 'R -3 m'
_space_group_IT_number 166
_space_group_name_Hall '-R 3 2"'
_cell_length_a 10.9073
_cell_length_b 10.9073
_cell_length_c 10.6020
_cell_angle_alpha 90.00
_cell_angle_beta 90.00
_cell_angle_gamma 120.00
loop_
_atom_site_label
_atom_site_type_symbol
_atom_site_fract_x
_atom_site_fract_y
_atom_site_fract_z
Zr1 Zr 0.0000 0.0000 0.0000
Mo1 Mo 0.0000 0.3714 0.5000
Mo2 Mo 0.1042 0.2084 0.3683
W1 W 0.0095 0.5047 0.7001
```

Entry 7:
Diffraction record for ZrMo2W. The X-ray diffraction stick pattern is simulated, not measured: it uses a PBE-relaxed structure and Cu Kα X-rays.
No peak broadening, texture or thermal motion is included.

The 10 most intense peaks (2θ = 10–90°), in order of rising 2θ:
| index | 2θ (°) | d_spacing | intensity |
| --- | --- | --- | --- |
| 0 0 1 | 13.4 | 6.616 | 11 |
| 1 0 1 | 30.8 | 2.902 | 7 |
| 1 0 2 | 39.0 | 2.311 | 100 |
| 1 1 0 | 39.5 | 2.283 | 50 |
| 0 0 4 | 55.6 | 1.654 | 8 |
| 2 0 0 | 57.0 | 1.614 | 17 |
| 1 1 4 | 70.3 | 1.339 | 16 |
| 2 1 2 | 71.3 | 1.323 | 34 |
| 2 0 4 | 83.7 | 1.155 | 10 |
| 2 2 0 | 85.0 | 1.142 | 5 |

Structural model:
```
data_ZrMo2W
_chemical_formula_sum 'Zr1 Mo2 W1'
_space_group_name_H-M_alt 'P 4 m m'
_space_group_IT_number 99
_cell_length_a 3.229
_cell_length_b 3.229
_cell_length_c 6.616
_cell_angle_alpha 90.00
_cell_angle_beta 90.00
_cell_angle_gamma 90.00
loop_
_space_group_symop_operation_xyz
'x,y,z'
'-y,x,z'
'-x,-y,z'
'y,-x,z'
'-x,y,z'
'y,x,z'
'x,-y,z'
'-y,-x,z'
loop_
_atom_site_label
_atom_site_type_symbol
_atom_site_fract_x
_atom_site_fract_y
_atom_site_fract_z
Zr1 Zr 0.000 0.000 0.000
Mo1 Mo 0.000 0.000 0.498
Mo2 Mo 0.500 0.500 0.265
W1 W 0.500 0.500 0.731
```

Entry 8:
Diffraction record for Y4Mo. The X-ray diffraction stick pattern is simulated, not measured: it uses a PBE-relaxed structure and Cu Kα X-rays.
No peak broadening, texture or thermal motion is included.

The 10 most intense peaks (2θ = 10–90°), in order of rising 2θ:
| index | 2θ (°) | d_spacing | intensity |
| --- | --- | --- | --- |
| 1 1 0 | 14.0 | 6.337 | 13 |
| 3 1 0 | 31.6 | 2.834 | 53 |
| 1 2 1 | 33.7 | 2.662 | 100 |
| 2 3 1 | 44.4 | 2.038 | 12 |
| 2 4 0 | 45.3 | 2.004 | 16 |
| 4 1 1 | 49.1 | 1.855 | 9 |
| 4 3 1 | 57.6 | 1.601 | 20 |
| 3 1 2 | 61.5 | 1.508 | 19 |
| 1 6 1 | 69.0 | 1.361 | 8 |
| 3 5 2 | 83.0 | 1.164 | 9 |

Structural model:
```
data_Y4Mo
_chemical_formula_sum 'Y8 Mo2'
_space_group_name_H-M_alt 'I 4/m'
_space_group_IT_number 87
_space_group_name_Hall '-I 4'
_cell_length_a 8.961
_cell_length_b 8.961
_cell_length_c 3.562
_cell_angle_alpha 90.00
_cell_angle_beta 90.00
_cell_angle_gamma 90.00
loop_
_atom_site_label
_atom_site_type_symbol
_atom_site_fract_x
_atom_site_fract_y
_atom_site_fract_z
Y1 Y 0.076 0.740 0.000
Mo1 Mo 0.000 0.000 0.500
```